1.
Pu2Ge3Pd9: computed powder diffractogram (Cu Kα X-rays), based on a structure optimized by DFT (PBE).

Most intense lines, 2θ = 15–90°, by angle:
| 2theta | I/Imax |
| --- | --- |
| 24.83 | 21 |
| 37.40 | 100 |
| 37.47 | 59 |
| 39.36 | 21 |
| 39.97 | 37 |
| 40.12 | 72 |
| 55.93 | 19 |
| 70.91 | 19 |

Structural model:
Lattice parameters (Å, degrees): 13.5335 7.7777 10.2044 90.00 116.19 90.00
Space group C2/c (No. 15)
One atom of each set of equivalent atoms:
Pu  0.1717  0.0869  0.2481 [8 per cell]
Ge  0.0857  0.2397  0.5004 [8 per cell]
Ge  0.2500  0.2500  0.0000 [4 per cell]
Pd  0.0000  0.3670  0.2500 [4 per cell]
Pd  0.0568  0.0731  0.9187 [8 per cell]
Pd  0.1002  0.4102  0.0445 [8 per cell]
Pd  0.1051  0.3185  0.7471 [8 per cell]
Pd  0.2278  0.4121  0.4271 [8 per cell]


2.
PuGe3Pd10: computed powder diffractogram (Cu Kα X-rays), based on a structure optimized by DFT (PBE).

Most intense lines, 2θ = 15–90°, by angle:
| 2theta | I/Imax |
| --- | --- |
| 32.07 | 60 |
| 35.22 | 35 |
| 37.44 | 100 |
| 40.90 | 68 |
| 42.86 | 55 |
| 48.37 | 57 |
| 63.21 | 34 |
| 74.48 | 37 |

Structural model:
Lattice parameters (Å, degrees): 12.4823 12.4823 12.4823 90.00 90.00 90.00
Space group Fm-3m (No. 225)
One atom of each set of equivalent atoms:
Pu  0.2500  0.2500  0.2500 [8 per cell]
Ge  0.0000  0.0000  0.2349 [24 per cell]
Pd  0.0000  0.1738  0.3262 [48 per cell]
Pd  0.1176  0.1176  0.1176 [32 per cell]


3.
Pu4Ge2Pd: computed powder diffractogram (Cu Kα X-rays), based on a structure optimized by DFT (PBE).

Most intense lines, 2θ = 15–90°, by angle:
| 2theta | I/Imax |
| --- | --- |
| 23.29 | 28 |
| 28.25 | 51 |
| 35.67 | 100 |
| 37.57 | 47 |
| 43.04 | 35 |
| 52.77 | 17 |
| 64.07 | 19 |
| 65.33 | 19 |

Structural model:
Lattice parameters (Å, degrees): 5.0344 5.0344 22.9142 90.00 90.00 120.00
Space group R-3m (No. 166, hexagonal axes)
One atom of each set of equivalent atoms:
Pu  0.0000  0.0000  0.1083 [6 per cell]
Pu  0.0000  0.0000  0.2655 [6 per cell]
Ge  0.0000  0.0000  0.3908 [6 per cell]
Pd  0.0000  0.0000  0.5000 [3 per cell]


4.
PuGe2Pd3: computed powder diffractogram (Cu Kα X-rays), based on a structure optimized by DFT (PBE).

Most intense lines, 2θ = 15–90°, by angle:
| 2theta | I/Imax |
| --- | --- |
| 30.47 | 30 |
| 30.85 | 29 |
| 33.47 | 24 |
| 34.68 | 41 |
| 34.91 | 100 |
| 36.33 | 21 |
| 39.16 | 25 |
| 44.95 | 47 |

Structural model:
Lattice parameters (Å, degrees): 16.8657 4.0336 10.0673 90.00 107.71 90.00
Space group C2/m (No. 12)
One atom of each set of equivalent atoms:
Pu  0.0000  0.0000  0.0000 [2 per cell]
Pu  0.1584  0.0000  0.7025 [4 per cell]
Ge  0.0411  0.5000  0.7818 [4 per cell]
Ge  0.1377  0.5000  0.4595 [4 per cell]
Ge  0.1976  0.0000  0.1332 [4 per cell]
Pd  0.0000  0.5000  0.5000 [2 per cell]
Pd  0.0408  0.0000  0.3324 [4 per cell]
Pd  0.1200  0.5000  0.2003 [4 per cell]
Pd  0.1807  0.5000  0.9670 [4 per cell]
Pd  0.2166  0.0000  0.3941 [4 per cell]